This entry pairs a crystal structure of RuRh3 with its theoretical XRD peak list. Radiation: Cu Ka. Structure: a DFT-relaxed cell (PBE, Alexandria).
No peak broadening, texture or thermal motion is included.

Atomic structure:
```
data_RuRh3
_chemical_formula_sum 'Ru1 Rh3'
_space_group_name_H-M_alt 'P -6 m 2'
_space_group_IT_number 187
_space_group_name_Hall 'P -6 2'
_cell_length_a 2.7291
_cell_length_b 2.7291
_cell_length_c 8.7667
_cell_angle_alpha 90.00
_cell_angle_beta 90.00
_cell_angle_gamma 120.00
loop_
_atom_site_label
_atom_site_type_symbol
_atom_site_fract_x
_atom_site_fract_y
_atom_site_fract_z
Ru1 Ru 0.0000 0.0000 0.0000
Rh1 Rh 0.0000 0.0000 0.5000
Rh2 Rh 0.6667 0.3333 0.2447
```

Principal peaks in the range 2θ = 15–90°, by intensity:
h k l	d_spacing	Position (°2θ)	Rel. int.
1 0 2	2.080	43.50	100
0 0 4	2.192	41.19	26
1 0 0	2.363	38.07	24
1 1 4	1.158	83.44	19
1 0 6	1.243	76.68	18
1 1 0	1.365	68.80	17
1 0 4	1.607	57.33	14
2 0 2	1.141	85.01	14
0 0 8	1.096	89.42	3
2 0 0	1.182	81.44	3

---

This entry pairs a crystal structure of Rb2VCdBr6 with its theoretical XRD peak list. Radiation: Cu Ka. Structure: a DFT-relaxed cell (PBE, Alexandria).
No peak broadening, texture or thermal motion is included.

Atomic structure:
```
data_Rb2VCdBr6
_chemical_formula_sum 'Rb8 V4 Cd4 Br24'
_space_group_name_H-M_alt 'F m -3 m'
_space_group_IT_number 225
_space_group_name_Hall '-F 4 2 3'
_cell_length_a 10.891
_cell_length_b 10.891
_cell_length_c 10.891
_cell_angle_alpha 90.00
_cell_angle_beta 90.00
_cell_angle_gamma 90.00
loop_
_atom_site_label
_atom_site_type_symbol
_atom_site_fract_x
_atom_site_fract_y
_atom_site_fract_z
Rb1 Rb 0.250 0.250 0.250
V1 V 0.000 0.000 0.000
Cd1 Cd 0.000 0.000 0.500
Br1 Br 0.000 0.000 0.243
```

Principal peaks in the range 2θ = 15–90°, by intensity:
h k l	d_spacing	Position (°2θ)	Rel. int.
4 0 0	2.723	32.89	100
2 2 2	3.144	28.39	72
4 4 0	1.925	47.21	70
6 2 2	1.642	56.01	30
8 4 0	1.218	78.56	30
4 4 4	1.572	58.73	24
8 4 4	1.112	87.82	23
2 2 0	3.851	23.10	22
2 0 0	5.446	16.28	21
6 6 2	1.249	76.21	12

---

This entry pairs a crystal structure of Na8Cl5O with its theoretical XRD peak list. Radiation: Cu Ka. Structure: a DFT-relaxed cell (PBE, Alexandria).
No peak broadening, texture or thermal motion is included.

Atomic structure:
```
data_Na8Cl5O
_chemical_formula_sum 'Na32 Cl20 O4'
_space_group_name_H-M_alt 'F -4 3 m'
_space_group_IT_number 216
_space_group_name_Hall 'F -4 2 3'
_cell_length_a 11.435
_cell_length_b 11.435
_cell_length_c 11.435
_cell_angle_alpha 90.00
_cell_angle_beta 90.00
_cell_angle_gamma 90.00
loop_
_atom_site_label
_atom_site_type_symbol
_atom_site_fract_x
_atom_site_fract_y
_atom_site_fract_z
Na1 Na 0.111 0.111 0.111
Na2 Na 0.115 0.115 0.615
Cl1 Cl 0.126 0.126 0.374
Cl2 Cl 0.250 0.250 0.750
O1 O 0.000 0.000 0.000
```

Principal peaks in the range 2θ = 15–90°, by intensity:
h k l	d_spacing	Position (°2θ)	Rel. int.
4 4 0	2.022	44.84	100
3 1 1	3.448	25.84	93
4 0 0	2.859	31.29	83
3 3 3	2.201	41.01	28
8 4 4	1.167	82.68	23
2 2 0	4.043	21.98	19
7 3 1	1.489	62.37	17
8 4 0	1.279	74.17	17
4 4 4	1.651	55.69	16
4 2 2	2.334	38.57	14